Entry 1:
This entry pairs a crystal structure of HgS2O6F2 with its computed powder X-ray diffraction pattern. Radiation: Cu Kα (λ = 1.5418 Å). Structure: DFT lattice parameters and positions (GGA-PBE).
Peak positions follow from Bragg's law for the DFT cell and can differ from measured ones.

Most intense lines, 10° ≤ 2θ ≤ 90°, in order of rising 2θ:
2θ (°), Rel. int.
12.07, 55
19.16, 22
22.71, 100
31.11, 43
33.51, 25
35.74, 17
40.87, 20
41.80, 37
53.83, 25
61.33, 14

Atomic structure:
```
HgS2O6F2
1.0
5.348 0.000 0.000
-2.674 4.631 0.000
0.000 0.000 7.332
Hg S O F
1 2 6 2
direct
0.000 0.000 0.000
0.333 0.667 0.766
0.667 0.333 0.234
0.074 0.678 0.812
0.322 0.396 0.812
0.396 0.074 0.188
0.604 0.926 0.812
0.678 0.604 0.188
0.926 0.322 0.188
0.333 0.667 0.550
0.667 0.333 0.450
```

---

Entry 2:
This entry pairs a crystal structure of Sm2ZnGa3 with its computed powder X-ray diffraction pattern. Radiation: Cu Kα (λ = 1.5418 Å). Structure: DFT lattice parameters and positions (GGA-PBE).
Peak positions follow from Bragg's law for the DFT cell and can differ from measured ones.

Most intense lines, 10° ≤ 2θ ≤ 90°, in order of rising 2θ:
2θ (°), Rel. int.
27.25, 14
28.18, 19
32.39, 100
36.44, 30
37.15, 23
41.75, 22
44.27, 18
47.91, 15
58.63, 15
70.30, 19

Atomic structure:
```
Sm2ZnGa3
1.0
4.092 0.000 0.000
0.000 4.327 0.000
0.000 0.000 15.004
Sm Zn Ga
4 2 6
direct
0.000 0.000 0.000
0.000 0.500 0.261
0.500 0.000 0.761
0.500 0.500 0.500
0.000 0.000 0.590
0.500 0.500 0.090
0.000 0.000 0.426
0.000 0.500 0.670
0.000 0.500 0.836
0.500 0.000 0.170
0.500 0.000 0.336
0.500 0.500 0.926
```

---

Entry 3:
This entry pairs a crystal structure of Nd3Ti3Se2O8 with its computed powder X-ray diffraction pattern. Radiation: Cu Kα (λ = 1.5418 Å). Structure: DFT lattice parameters and positions (GGA-PBE).
Peak positions follow from Bragg's law for the DFT cell and can differ from measured ones.

Most intense lines, 10° ≤ 2θ ≤ 90°, in order of rising 2θ:
2θ (°), Rel. int.
19.29, 59
27.68, 100
28.88, 72
29.98, 63
30.92, 86
32.26, 90
34.75, 69
35.63, 55
36.98, 53
45.80, 69

Atomic structure:
```
Nd3Ti3Se2O8
1.0
9.882 0.000 0.000
0.000 3.962 0.000
-4.866 0.000 12.693
Nd Ti Se O
6 6 4 16
direct
0.110 0.250 0.163
0.176 0.250 0.586
0.331 0.250 0.916
0.669 0.750 0.084
0.824 0.750 0.414
0.890 0.750 0.837
0.222 0.750 0.401
0.448 0.750 0.767
0.449 0.250 0.407
0.551 0.750 0.593
0.552 0.250 0.233
0.778 0.250 0.599
0.139 0.750 0.747
0.178 0.750 0.018
0.822 0.250 0.982
0.861 0.250 0.253
0.085 0.750 0.470
0.139 0.750 0.259
0.252 0.250 0.427
0.360 0.750 0.609
0.377 0.250 0.254
0.406 0.250 0.764
0.439 0.750 0.429
0.473 0.750 0.915
0.527 0.250 0.085
0.561 0.250 0.571
0.594 0.750 0.236
0.623 0.750 0.746
0.640 0.250 0.391
0.748 0.750 0.573
0.861 0.250 0.741
0.915 0.250 0.530
```

---

Entry 4:
This entry pairs a crystal structure of Ce5H with its computed powder X-ray diffraction pattern. Radiation: Cu Kα (λ = 1.5418 Å). Structure: DFT lattice parameters and positions (GGA-PBE).
Peak positions follow from Bragg's law for the DFT cell and can differ from measured ones.

Most intense lines, 10° ≤ 2θ ≤ 90°, in order of rising 2θ:
2θ (°), Rel. int.
30.23, 47
32.60, 57
33.59, 100
36.96, 87
45.05, 32
56.09, 17
58.81, 20
61.05, 20
66.40, 21
68.25, 32

Atomic structure:
```
Ce5H
1.0
5.493 0.000 0.000
0.000 15.262 0.000
0.000 0.000 3.207
Ce H
10 2
direct
0.000 0.000 0.000
0.000 0.194 0.500
0.000 0.392 0.000
0.000 0.608 0.000
0.000 0.806 0.500
0.500 0.108 0.000
0.500 0.306 0.500
0.500 0.500 0.000
0.500 0.694 0.500
0.500 0.892 0.000
0.000 0.500 0.500
0.500 0.000 0.500
```